1.
ErAgSn: simulated powder diffraction line list (a wavelength of 1.5418 Å), based on a DFT-relaxed cell (PBE, the Materials Project).
No peak broadening, texture or thermal motion is included.

```
data_ErAgSn
_chemical_formula_sum 'Er2 Ag2 Sn2'
_space_group_name_H-M_alt 'P 63 m c'
_space_group_IT_number 186
_space_group_name_Hall 'P 6c -2c'
_cell_length_a 4.7259
_cell_length_b 4.7259
_cell_length_c 7.3569
_cell_angle_alpha 90.00
_cell_angle_beta 90.00
_cell_angle_gamma 120.00
loop_
_atom_site_label
_atom_site_type_symbol
_atom_site_fract_x
_atom_site_fract_y
_atom_site_fract_z
Er1 Er 0.0000 0.0000 0.0000
Ag1 Ag 0.3333 0.6667 0.1888
Sn1 Sn 0.3333 0.6667 0.7819
```

Largest 12 diffraction maxima, low angle first, 2θ from 10° to 80°:
2θ/deg, I (rel.)
24.90, 102
32.73, 1000
38.08, 772
43.00, 167
51.07, 286
54.71, 50
58.77, 66
64.17, 138
65.45, 272
67.67, 72
68.82, 135
72.20, 72

2.
ErAgSn: simulated powder diffraction line list (a wavelength of 1.5418 Å), based on a DFT-relaxed cell (PBE, the Materials Project).
No peak broadening, texture or thermal motion is included.

```
data_ErAgSn
_chemical_formula_sum 'Er2 Ag2 Sn2'
_space_group_name_H-M_alt 'P -3 m 1'
_space_group_IT_number 164
_space_group_name_Hall '-P 3 2"'
_cell_length_a 4.8271
_cell_length_b 4.8271
_cell_length_c 7.3911
_cell_angle_alpha 90.00
_cell_angle_beta 90.00
_cell_angle_gamma 120.00
loop_
_atom_site_label
_atom_site_type_symbol
_atom_site_fract_x
_atom_site_fract_y
_atom_site_fract_z
Er1 Er 0.0000 0.0000 0.2262
Ag1 Ag 0.3333 0.6667 0.9719
Sn1 Sn 0.3333 0.6667 0.5611
```

Largest 12 diffraction maxima, low angle first, 2θ from 10° to 80°:
2θ/deg, I (rel.)
24.46, 117
32.33, 1000
37.26, 822
42.60, 214
50.14, 293
57.85, 86
63.40, 109
64.10, 280
67.18, 207
70.85, 94
75.41, 66
79.41, 131